Diffraction record for YAl6. The X-ray powder pattern is computed, not measured: it uses a cell relaxed with GGA-PBE and Cu Ka.

Cell lengths 5.905, 5.905, 7.867 Å; angles 90.00, 90.00, 90.00 degrees
Fractional positions:
Y (0.250, 0.750, 0.000)
Y (0.750, 0.250, 0.000)
Al (0.076, 0.576, 0.355)
Al (0.076, 0.924, 0.645)
Al (0.250, 0.250, 0.160)
Al (0.250, 0.250, 0.840)
Al (0.424, 0.576, 0.645)
Al (0.424, 0.924, 0.355)
Al (0.576, 0.076, 0.645)
Al (0.576, 0.424, 0.355)
Al (0.750, 0.750, 0.160)
Al (0.750, 0.750, 0.840)
Al (0.924, 0.076, 0.355)
Al (0.924, 0.424, 0.645)

Main lines, in order of rising 2θ (2θ = 10–80°):
2θ 11.25, intensity 31.7; 2θ 31.24, intensity 51.4; 2θ 32.39, intensity 100.0; 2θ 40.63, intensity 57.0; 2θ 41.17, intensity 23.1; 2θ 43.34, intensity 28.5; 2θ 54.39, intensity 27.6; 2θ 69.40, intensity 23.4